[1]
Starting from the GGA+U geometry in the Materials Project, the powder X-ray diffraction pattern of V2Cu3H6O11 was computed for Cu Ka.

Peak list (12 most intense, 10° ≤ 2θ ≤ 90°, low angle first)
- hkl 2 0 0, 2θ 12.42, I 100.0
- hkl 3 1 -1, 2θ 21.71, I 7.8
- hkl 2 0 2, 2θ 28.11, I 15.8
- hkl 3 1 1, 2θ 29.46, I 17.9
- hkl 5 1 -1, 2θ 31.23, I 14.4
- hkl 4 0 -4, 2θ 32.86, I 12.3
- hkl 2 0 -4, 2θ 33.67, I 12.4
- hkl 2 2 -2, 2θ 34.33, I 18.9
- hkl 4 2 -2, 2θ 37.38, I 21.8
- hkl 6 2 -2, 2θ 44.23, I 8.2
- hkl 6 2 -6, 2θ 59.62, I 14.8
- hkl 6 2 2, 2θ 61.14, I 8.1

Structural model:
Cell lengths 16.944, 5.952, 10.992 Å; angles 90.00, 122.72, 90.00 degrees
Space group Cc (No. 9)
Asymmetric unit:
V (0.000, 0.224, 0.000)
V (0.249, 0.225, 0.239)
Cu (0.373, 0.003, 0.615)
Cu (0.375, 0.249, 0.870)
Cu (0.375, 0.497, 0.123)
H (0.004, 0.253, 0.649)
H (0.090, 0.140, 0.444)
H (0.096, 0.389, 0.415)
H (0.156, 0.394, 0.810)
H (0.163, 0.144, 0.790)
H (0.245, 0.255, 0.589)
O (0.118, 0.257, 0.781)
O (0.125, 0.197, 0.120)
O (0.134, 0.253, 0.449)
O (0.273, 0.455, 0.342)
O (0.286, 0.014, 0.848)
O (0.303, 0.246, 0.137)
O (0.316, 0.251, 0.656)
O (0.433, 0.250, 0.082)
O (0.446, 0.254, 0.602)
O (0.463, 0.486, 0.891)
O (0.477, 0.045, 0.397)

***

[2]
Starting from the GGA+U geometry in the Materials Project, the powder X-ray diffraction pattern of Ho5CuW8O32 was computed for Cu Ka.

Peak list (12 most intense, 10° ≤ 2θ ≤ 90°, low angle first)
- hkl 3 1 -2, 2θ 23.72, I 66.2
- hkl 3 1 1, 2θ 24.86, I 11.9
- hkl 5 1 -1, 2θ 27.98, I 94.0
- hkl 1 1 -3, 2θ 28.18, I 100.0
- hkl 4 0 2, 2θ 29.88, I 36.9
- hkl 2 2 1, 2θ 35.01, I 38.0
- hkl 6 0 -4, 2θ 35.92, I 24.3
- hkl 7 1 0, 2θ 38.36, I 11.3
- hkl 2 0 -6, 2θ 47.65, I 13.4
- hkl 8 2 -3, 2θ 50.92, I 22.5
- hkl 4 2 -5, 2θ 51.15, I 21.2
- hkl 3 3 -2, 2θ 51.70, I 27.3

Structural model:
Cell lengths 19.283, 5.673, 11.601 Å; angles 90.00, 110.63, 90.00 degrees
Space group C2 (No. 5)
Asymmetric unit:
Ho (0.000, 0.000, 0.000)
Ho (0.146, 0.021, 0.703)
Ho (0.148, 0.370, 0.209)
Cu (0.000, 0.396, 0.500)
W (0.057, 0.506, 0.837)
W (0.057, 0.879, 0.347)
W (0.189, 0.568, 0.538)
W (0.189, 0.813, 0.036)
O (0.014, 0.317, 0.132)
O (0.014, 0.575, 0.665)
O (0.015, 0.797, 0.170)
O (0.017, 0.060, 0.637)
O (0.104, 0.575, 0.020)
O (0.106, 0.820, 0.522)
O (0.119, 0.096, 0.324)
O (0.121, 0.285, 0.828)
O (0.129, 0.042, 0.073)
O (0.132, 0.595, 0.358)
O (0.132, 0.785, 0.855)
O (0.134, 0.345, 0.580)
O (0.233, 0.668, 0.191)
O (0.234, 0.722, 0.693)
O (0.243, 0.867, 0.486)
O (0.245, 0.522, 0.985)

***

[3]
Starting from the GGA+U geometry in the Materials Project, the powder X-ray diffraction pattern of HoCuW2O8 was computed for Cu Ka.

Peak list (12 most intense, 10° ≤ 2θ ≤ 90°, low angle first)
- hkl 0 1 2, 2θ 23.14, I 45.7
- hkl 1 1 1, 2θ 28.55, I 95.7
- hkl 1 1 -3, 2θ 29.74, I 100.0
- hkl 1 2 -1, 2θ 34.75, I 37.0
- hkl 2 0 -2, 2θ 35.38, I 26.9
- hkl 0 0 4, 2θ 35.86, I 20.0
- hkl 0 3 2, 2θ 49.07, I 25.1
- hkl 2 0 2, 2θ 49.76, I 17.1
- hkl 1 2 3, 2θ 50.05, I 17.4
- hkl 1 2 -5, 2θ 51.54, I 19.1
- hkl 3 1 -1, 2θ 58.73, I 15.5
- hkl 2 3 0, 2θ 61.32, I 21.4

Structural model:
Cell lengths 5.081, 5.997, 10.998 Å; angles 90.00, 114.39, 90.00 degrees
Space group P2/c (No. 13)
Asymmetric unit:
Ho (0.000, 0.169, 0.250)
Cu (0.500, 0.221, 0.750)
W (0.237, 0.331, 0.988)
O (0.160, 0.413, 0.611)
O (0.215, 0.134, 0.110)
O (0.269, 0.139, 0.863)
O (0.342, 0.386, 0.404)

***

- What is the formula in the second record?
  Ho5CuW8O32